Starting from a cell relaxed with GGA-PBE, the powder diffractogram of V6IrRu5 was computed for Cu Kα X-rays.

Structural model:
```
data_V6IrRu5
_space_group_name_H-M_alt 'C 1 2/m 1'
_space_group_IT_number 12
_cell_length_a 4.089
_cell_length_b 12.286
_cell_length_c 6.577
_cell_angle_alpha 90.00
_cell_angle_beta 90.06
_cell_angle_gamma 90.00
loop_
_space_group_symop_operation_xyz
'x,y,z'
'-x,-y,-z'
'-x,y,-z'
'x,-y,z'
'x+1/2,y+1/2,z'
'-x+1/2,-y+1/2,-z'
'-x+1/2,y+1/2,-z'
'x+1/2,-y+1/2,z'
loop_
_atom_site_label
_atom_site_fract_x
_atom_site_fract_y
_atom_site_fract_z
_atom_site_occupancy
V1 0.000 0.000 0.243 1
V2 0.000 0.332 0.248 1
Ir1 0.000 0.500 0.500 1
Ru1 0.000 0.164 0.500 1
Ru2 0.000 0.167 0.000 1
Ru3 0.000 0.500 0.000 1
```

Top 10 peaks for 2θ = 10–90°, by angle:
h k l  2θ (°)  d (Å)  intensity
0 0 2  27.12  3.289  13
1 3 0  30.90  2.894  19
1 3 2  41.57  2.172  100
2 0 0  44.27  2.046  42
2 0 2  52.69  1.737  9
0 0 4  55.92  1.644  10
2 6 0  64.40  1.447  13
2 0 4  73.95  1.282  17
3 3 -2  79.59  1.204  21
3 3 2  79.70  1.203  7

---

Starting from a cell relaxed with GGA-PBE, the powder diffractogram of VIr6Ru was computed for Cu Kα X-rays.

Structural model:
```
data_VIr6Ru
_space_group_name_H-M_alt 'P 4/m m m'
_space_group_IT_number 123
_space_group_name_Hall '-P 4 2'
_cell_length_a 5.442
_cell_length_b 5.442
_cell_length_c 3.853
_cell_angle_alpha 90.00
_cell_angle_beta 90.00
_cell_angle_gamma 90.00
loop_
_atom_site_label
_atom_site_fract_x
_atom_site_fract_y
_atom_site_fract_z
_atom_site_occupancy
V1 0.000 0.000 0.000 1
Ir1 0.000 0.500 0.000 1
Ir2 0.249 0.249 0.500 1
Ru1 0.500 0.500 0.000 1
```

Top 10 peaks for 2θ = 10–90°, by angle:
h k l  2θ (°)  d (Å)  intensity
1 1 0  23.10  3.850  9
2 0 0  32.90  2.722  8
2 0 1  40.59  2.223  100
2 2 0  47.22  1.925  49
3 1 0  53.20  1.722  4
3 1 1  58.75  1.572  3
4 0 0  69.00  1.361  32
2 0 3  83.17  1.162  13
4 2 1  83.27  1.160  26
4 0 2  87.84  1.111  11

---

Starting from a cell relaxed with GGA-PBE, the powder diffractogram of V2Ir4Ru3 was computed for Cu Kα X-rays.

Structural model:
```
data_V2Ir4Ru3
_space_group_name_H-M_alt 'P -1'
_space_group_IT_number 2
_cell_length_a 4.730
_cell_length_b 6.989
_cell_length_c 8.418
_cell_angle_alpha 108.16
_cell_angle_beta 106.27
_cell_angle_gamma 90.21
loop_
_space_group_symop_operation_xyz
'x,y,z'
'-x,-y,-z'
loop_
_atom_site_label
_atom_site_fract_x
_atom_site_fract_y
_atom_site_fract_z
_atom_site_occupancy
V1 0.008 0.085 0.173 1
V2 0.233 0.633 0.607 1
Ir1 0.113 0.704 0.057 1
Ir2 0.329 0.252 0.500 1
Ir3 0.332 0.418 0.833 1
Ir4 0.440 0.020 0.721 1
Ru1 0.110 0.860 0.391 1
Ru2 0.215 0.468 0.277 1
Ru3 0.443 0.190 0.054 1
```

Top 10 peaks for 2θ = 10–90°, by angle:
h k l  2θ (°)  d (Å)  intensity
0 1 -1  14.59  6.071  20
2 0 -1  38.05  2.365  37
0 2 2  41.55  2.173  38
1 -3 1  43.49  2.081  50
1 -1 3  43.61  2.075  100
2 2 1  57.68  1.598  11
3 2 -4  68.80  1.364  17
-1 5 1  77.08  1.237  9
1 1 5  77.33  1.234  14
0 2 -7  83.74  1.155  20

---

Starting from a cell relaxed with GGA-PBE, the powder diffractogram of VIr3Ru2 was computed for Cu Kα X-rays.

Structural model:
```
data_VIr3Ru2
_space_group_name_H-M_alt 'P 1 21/m 1'
_space_group_IT_number 11
_cell_length_a 6.362
_cell_length_b 2.773
_cell_length_c 9.683
_cell_angle_alpha 90.00
_cell_angle_beta 90.57
_cell_angle_gamma 90.00
loop_
_space_group_symop_operation_xyz
'x,y,z'
'-x,-y,-z'
'-x,y+1/2,-z'
'x,-y+1/2,z'
loop_
_atom_site_label
_atom_site_fract_x
_atom_site_fract_y
_atom_site_fract_z
_atom_site_occupancy
V1 0.211 0.250 0.255 1
Ir1 0.081 0.250 0.614 1
Ir2 0.340 0.750 0.055 1
Ir3 0.385 0.750 0.751 1
Ru1 0.077 0.250 0.889 1
Ru2 0.342 0.750 0.448 1
```

Top 10 peaks for 2θ = 10–90°, by angle:
h k l  2θ (°)  d (Å)  intensity
1 0 -1  16.60  5.341  31
1 1 1  36.57  2.457  41
2 0 -3  39.58  2.277  48
2 0 3  39.99  2.255  85
0 1 3  43.00  2.103  100
2 1 0  43.29  2.090  95
3 0 1  43.79  2.067  18
0 2 0  67.54  1.387  23
3 1 4  68.06  1.378  16
2 2 3  81.50  1.181  20

---

Starting from a cell relaxed with GGA-PBE, the powder diffractogram of VIr3Ru was computed for Cu Kα X-rays.

Structural model:
```
data_VIr3Ru
_space_group_name_H-M_alt 'P m m a'
_space_group_IT_number 51
_cell_length_a 5.301
_cell_length_b 2.676
_cell_length_c 10.751
_cell_angle_alpha 90.00
_cell_angle_beta 90.00
_cell_angle_gamma 90.00
loop_
_space_group_symop_operation_xyz
'x,y,z'
'-x,-y,-z'
'-x+1/2,-y,z'
'x+1/2,y,-z'
'x+1/2,-y,-z'
'-x+1/2,y,z'
'-x,y,-z'
'x,-y,z'
loop_
_atom_site_label
_atom_site_fract_x
_atom_site_fract_y
_atom_site_fract_z
_atom_site_occupancy
V1 0.250 0.000 0.197 1
Ir1 0.000 0.000 0.000 1
Ir2 0.009 0.000 0.620 1
Ru1 0.250 0.500 0.808 1
```

Top 10 peaks for 2θ = 10–90°, by angle:
h k l  2θ (°)  d (Å)  intensity
0 0 3  24.85  3.584  55
0 1 0  33.48  2.676  80
2 0 0  33.82  2.651  49
2 0 2  37.84  2.377  47
0 0 5  42.02  2.150  67
0 1 3  42.14  2.144  75
2 0 3  42.42  2.131  100
2 1 0  48.33  1.883  84
2 1 3  55.06  1.668  61
2 1 5  65.94  1.417  51

---

Starting from a cell relaxed with GGA-PBE, the powder diffractogram of VIr2Ru3 was computed for Cu Kα X-rays.

Structural model:
```
data_VIr2Ru3
_space_group_name_H-M_alt 'P 63/m m c'
_space_group_IT_number 194
_space_group_name_Hall '-P 6c 2c'
_cell_length_a 5.0987
_cell_length_b 5.0987
_cell_length_c 7.7292
_cell_angle_alpha 90.00
_cell_angle_beta 90.00
_cell_angle_gamma 120.00
loop_
_atom_site_label
_atom_site_fract_x
_atom_site_fract_y
_atom_site_fract_z
_atom_site_occupancy
V1 0.0000 0.0000 0.0000 1
Ir1 0.3333 0.6667 0.0778 1
Ru1 0.1726 0.3452 0.7500 1
```

Top 10 peaks for 2θ = 10–90°, by angle:
h k l  2θ (°)  d (Å)  intensity
1 1 0  35.20  2.549  44
1 0 3  40.54  2.225  100
2 0 0  40.87  2.208  23
1 1 2  42.48  2.128  64
2 0 1  42.59  2.123  86
2 1 3  66.78  1.401  41
3 0 2  68.18  1.375  16
2 2 0  74.43  1.275  25
2 0 5  75.01  1.266  20
3 1 3  88.37  1.106  22

---

Starting from a cell relaxed with GGA-PBE, the powder diffractogram of VIr4Ru2 was computed for Cu Kα X-rays.

Structural model:
```
data_VIr4Ru2
_space_group_name_H-M_alt 'F d d 2'
_space_group_IT_number 43
_space_group_name_Hall 'F 2 -2d'
_cell_length_a 7.720
_cell_length_b 20.467
_cell_length_c 5.329
_cell_angle_alpha 90.00
_cell_angle_beta 90.00
_cell_angle_gamma 90.00
loop_
_atom_site_label
_atom_site_fract_x
_atom_site_fract_y
_atom_site_fract_z
_atom_site_occupancy
V1 0.000 0.000 0.000 1
Ir1 0.098 0.093 0.733 1
Ir2 0.107 0.094 0.247 1
Ru1 0.096 0.226 0.735 1
```

Top 10 peaks for 2θ = 10–90°, by angle:
h k l  2θ (°)  d (Å)  intensity
0 4 0  17.33  5.117  40
2 4 0  28.98  3.082  43
2 2 2  42.14  2.144  100
2 8 0  42.39  2.132  77
0 6 2  43.08  2.100  69
4 0 0  47.08  1.930  19
4 6 2  65.71  1.421  21
0 0 4  70.66  1.333  22
2 14 2  78.66  1.216  22
2 8 4  86.04  1.130  21

---

Starting from a cell relaxed with GGA-PBE, the powder diffractogram of VIr3Ru4 was computed for Cu Kα X-rays.

Structural model:
```
data_VIr3Ru4
_space_group_name_H-M_alt 'C 1 2/m 1'
_space_group_IT_number 12
_cell_length_a 11.765
_cell_length_b 2.716
_cell_length_c 8.992
_cell_angle_alpha 90.00
_cell_angle_beta 128.39
_cell_angle_gamma 90.00
loop_
_space_group_symop_operation_xyz
'x,y,z'
'-x,-y,-z'
'-x,y,-z'
'x,-y,z'
'x+1/2,y+1/2,z'
'-x+1/2,-y+1/2,-z'
'-x+1/2,y+1/2,-z'
'x+1/2,-y+1/2,z'
loop_
_atom_site_label
_atom_site_fract_x
_atom_site_fract_y
_atom_site_fract_z
_atom_site_occupancy
V1 0.000 0.000 0.000 1
Ir1 0.000 0.500 0.500 1
Ir2 0.246 0.500 0.246 1
Ru1 0.123 0.000 0.370 1
Ru2 0.123 0.500 0.879 1
```

Top 10 peaks for 2θ = 10–90°, by angle:
h k l  2θ (°)  d (Å)  intensity
0 0 1  12.56  7.049  6
2 0 -2  20.08  4.423  6
3 1 -1  40.77  2.213  100
1 1 -3  47.33  1.921  33
6 0 -2  47.65  1.908  16
0 2 0  69.18  1.358  10
5 1 1  69.43  1.354  21
2 2 2  83.53  1.157  25
9 1 -3  83.98  1.152  9
6 2 -2  88.30  1.107  8

---

Starting from a cell relaxed with GGA-PBE, the powder diffractogram of V5IrRu2 was computed for Cu Kα X-rays.

Structural model:
```
data_V5IrRu2
_space_group_name_H-M_alt 'I 4/m m m'
_space_group_IT_number 139
_space_group_name_Hall '-I 4 2'
_cell_length_a 4.252
_cell_length_b 4.252
_cell_length_c 12.034
_cell_angle_alpha 90.00
_cell_angle_beta 90.00
_cell_angle_gamma 90.00
loop_
_atom_site_label
_atom_site_fract_x
_atom_site_fract_y
_atom_site_fract_z
_atom_site_occupancy
V1 0.000 0.000 0.000 1
V2 0.000 0.500 0.123 1
Ir1 0.000 0.000 0.500 1
Ru1 0.000 0.000 0.251 1
```

Top 10 peaks for 2θ = 10–90°, by angle:
h k l  2θ (°)  d (Å)  intensity
1 0 1  22.17  4.009  17
1 1 0  29.71  3.007  19
1 0 3  30.64  2.918  7
2 0 0  42.51  2.126  100
1 0 5  43.19  2.095  3
2 1 1  48.47  1.878  5
2 0 4  52.72  1.736  5
2 2 0  61.69  1.504  16
3 1 0  69.95  1.345  7
3 1 4  77.80  1.228  31

---

Starting from a cell relaxed with GGA-PBE, the powder diffractogram of IrRuW was computed for Cu Kα X-rays.

Structural model:
```
data_IrRuW
_space_group_name_H-M_alt 'A m a 2'
_space_group_IT_number 40
_cell_length_a 4.385
_cell_length_b 4.836
_cell_length_c 8.366
_cell_angle_alpha 90.00
_cell_angle_beta 90.00
_cell_angle_gamma 90.00
loop_
_space_group_symop_operation_xyz
'x,y,z'
'-x,-y,z'
'-x+1/2,y,z'
'x+1/2,-y,z'
'x,y+1/2,z+1/2'
'-x,-y+1/2,z+1/2'
'-x+1/2,y+1/2,z+1/2'
'x+1/2,-y+1/2,z+1/2'
loop_
_atom_site_label
_atom_site_fract_x
_atom_site_fract_y
_atom_site_fract_z
_atom_site_occupancy
Ir1 0.250 0.166 0.000 1
Ru1 0.250 0.165 0.336 1
W1 0.250 0.176 0.670 1
```

Top 10 peaks for 2θ = 10–90°, by angle:
h k l  2θ (°)  d (Å)  intensity
0 0 2  21.23  4.184  5
1 1 1  29.50  3.028  6
0 2 0  37.21  2.417  25
2 0 0  41.17  2.193  25
1 1 3  42.73  2.116  100
2 2 0  56.69  1.624  15
0 0 6  67.09  1.395  17
3 1 3  76.11  1.251  18
2 0 6  81.83  1.177  20
1 4 0  82.88  1.165  15

---

Starting from a cell relaxed with GGA-PBE, the powder diffractogram of Ir2Ru2W3 was computed for Cu Kα X-rays.

Structural model:
```
data_Ir2Ru2W3
_space_group_name_H-M_alt 'C m m m'
_space_group_IT_number 65
_space_group_name_Hall '-C 2 2'
_cell_length_a 4.044
_cell_length_b 19.008
_cell_length_c 2.753
_cell_angle_alpha 90.00
_cell_angle_beta 90.00
_cell_angle_gamma 90.00
loop_
_atom_site_label
_atom_site_fract_x
_atom_site_fract_y
_atom_site_fract_z
_atom_site_occupancy
Ir1 0.000 0.072 0.000 1
Ru1 0.000 0.212 0.000 1
W1 0.000 0.352 0.500 1
W2 0.000 0.500 0.500 1
```

Top 10 peaks for 2θ = 10–90°, by angle:
h k l  2θ (°)  d (Å)  intensity
1 7 0  39.95  2.257  100
0 6 1  43.56  2.078  22
2 0 0  44.83  2.022  19
0 8 1  50.76  1.799  11
2 6 1  64.28  1.449  14
2 8 1  70.01  1.344  8
1 13 1  77.62  1.230  9
3 1 1  79.30  1.208  7
3 7 0  79.37  1.207  7
1 7 2  82.04  1.175  13

---

Starting from a cell relaxed with GGA-PBE, the powder diffractogram of Ir3RuW2 was computed for Cu Kα X-rays.

Structural model:
```
data_Ir3RuW2
_space_group_name_H-M_alt 'R -3 c'
_space_group_IT_number 167
_space_group_name_Hall '-R 3 2"c'
_cell_length_a 6.0505
_cell_length_b 6.0505
_cell_length_c 19.4691
_cell_angle_alpha 90.00
_cell_angle_beta 90.00
_cell_angle_gamma 120.00
loop_
_atom_site_label
_atom_site_fract_x
_atom_site_fract_y
_atom_site_fract_z
_atom_site_occupancy
Ir1 0.0000 0.2570 0.2500 1
Ru1 0.0000 0.0000 0.0000 1
W1 0.0000 0.0000 0.1346 1
```

Top 10 peaks for 2θ = 10–90°, by angle:
h k l  2θ (°)  d (Å)  intensity
1 1 0  29.53  3.025  29
1 1 3  32.66  2.742  100
0 2 4  39.04  2.307  38
1 1 6  40.78  2.213  67
0 1 8  40.89  2.207  62
2 1 1  46.07  1.970  32
2 1 4  49.70  1.834  36
1 2 5  51.79  1.765  23
1 1 9  51.97  1.760  28
3 0 0  52.38  1.747  43